The following is a computed X-ray powder pattern of MoIN. It was derived from a structure optimized by DFT (PBE), using Cu Ka.

Structure:
```
MoIN
1.0
4.2619 0.0000 0.0000
0.0000 3.4747 0.0000
-0.0749 0.0000 9.2531
Mo I N
2 2 2
Direct
0.2126 0.2500 0.0555
0.7874 0.7500 0.9445
0.2478 0.7500 0.3020
0.7522 0.2500 0.6980
0.2789 0.7500 0.9436
0.7211 0.2500 0.0564
```

Largest 10 diffraction maxima, by angle, 2θ from 10° to 90°:
22.90 deg, I = 100, (1 0 -1); 23.05 deg, I = 59, (1 0 1); 27.42 deg, I = 30, (0 1 1); 28.95 deg, I = 52, (0 0 3); 32.22 deg, I = 68, (0 1 2); 34.70 deg, I = 69, (1 1 1); 38.60 deg, I = 41, (1 1 -2); 38.78 deg, I = 58, (1 1 2); 39.05 deg, I = 50, (0 1 3); 42.42 deg, I = 36, (2 0 0)